Structure and theoretical powder X-ray diffraction pattern of Ag7Te4 (a PBE-relaxed structure; Cu Kα (λ = 1.5418 Å)).

Principal peaks in the range 10° ≤ 2θ ≤ 80°, most intense first:
2θ/deg  intensity
40.75  100.0
28.40  51.3
41.69  49.4
39.94  47.0
28.17  46.3
36.88  37.3

Structural model:
a = 13.3780 Å, b = 13.3780 Å, c = 9.1776 Å
α = 90.00°, β = 90.00°, γ = 120.00°
Fractional positions:
Ag  0.0000  0.0000  0.1455
Ag  0.0000  0.0000  0.8545
Ag  0.0000  0.5000  0.0000
Ag  0.1224  0.2448  0.0000
Ag  0.1224  0.8776  0.0000
Ag  0.1249  0.4612  0.5000
Ag  0.1249  0.6637  0.5000
Ag  0.2448  0.1224  0.0000
Ag  0.2539  0.5079  0.2349
Ag  0.2539  0.5079  0.7651
Ag  0.2539  0.7461  0.2349
Ag  0.2539  0.7461  0.7651
Ag  0.3363  0.4612  0.5000
Ag  0.3363  0.8751  0.5000
Ag  0.4612  0.1249  0.5000
Ag  0.4612  0.3363  0.5000
Ag  0.4921  0.7461  0.2349
Ag  0.4921  0.7461  0.7651
Ag  0.5000  0.0000  0.0000
Ag  0.5000  0.5000  0.0000
Ag  0.5079  0.2539  0.2349
Ag  0.5079  0.2539  0.7651
Ag  0.5388  0.6637  0.5000
Ag  0.5388  0.8751  0.5000
Ag  0.6637  0.1249  0.5000
Ag  0.6637  0.5388  0.5000
Ag  0.7461  0.2539  0.2349
Ag  0.7461  0.2539  0.7651
Ag  0.7461  0.4921  0.2349
Ag  0.7461  0.4921  0.7651
Ag  0.7552  0.8776  0.0000
Ag  0.8751  0.3363  0.5000
Ag  0.8751  0.5388  0.5000
Ag  0.8776  0.1224  0.0000
Ag  0.8776  0.7552  0.0000
Te  0.0000  0.2119  0.5000
Te  0.0000  0.3406  0.1898
Te  0.0000  0.3406  0.8102
Te  0.0000  0.6594  0.1898
Te  0.0000  0.6594  0.8102
Te  0.0000  0.7881  0.5000
Te  0.2119  0.0000  0.5000
Te  0.2119  0.2119  0.5000
Te  0.3333  0.6667  0.0000
Te  0.3406  0.0000  0.1898
Te  0.3406  0.0000  0.8102
Te  0.3406  0.3406  0.1898
Te  0.3406  0.3406  0.8102
Te  0.6594  0.0000  0.1898
Te  0.6594  0.0000  0.8102
Te  0.6594  0.6594  0.1898
Te  0.6594  0.6594  0.8102
Te  0.6667  0.3333  0.0000
Te  0.7881  0.0000  0.5000
Te  0.7881  0.7881  0.5000

=====

Structure and theoretical powder X-ray diffraction pattern of Ag5Te2 (a PBE-relaxed structure; Cu Kα (λ = 1.5418 Å)).

Principal peaks in the range 10° ≤ 2θ ≤ 80°, most intense first:
2θ/deg  intensity
36.25  100.0
36.59  98.7
42.16  67.6
61.48  40.0
42.59  28.0
73.62  23.5

Structural model:
a = 9.0220 Å, b = 9.0220 Å, c = 6.0217 Å
α = 90.00°, β = 90.00°, γ = 140.46°
Fractional positions:
Ag  0.0000  0.0000  0.2500
Ag  0.0000  0.0000  0.7500
Ag  0.1238  0.3855  0.0000
Ag  0.2450  0.7550  0.2500
Ag  0.2450  0.7550  0.7500
Ag  0.3855  0.1238  0.5000
Ag  0.6145  0.8762  0.5000
Ag  0.7550  0.2450  0.2500
Ag  0.7550  0.2450  0.7500
Ag  0.8762  0.6145  0.0000
Te  0.1538  0.3783  0.5000
Te  0.3783  0.1538  0.0000
Te  0.6217  0.8462  0.0000
Te  0.8462  0.6217  0.5000

=====

Structure and theoretical powder X-ray diffraction pattern of Ag2Te (a PBE-relaxed structure; Cu Kα (λ = 1.5418 Å)).

Principal peaks in the range 10° ≤ 2θ ≤ 80°, most intense first:
2θ/deg  intensity
30.61  100.0
43.00  95.8
37.68  49.0
23.94  46.7
23.42  37.7
38.31  34.5

Structural model:
a = 4.9083 Å, b = 4.9083 Å, c = 8.1791 Å
α = 90.00°, β = 90.00°, γ = 121.79°
Fractional positions:
Ag  0.0000  0.0000  0.0000
Ag  0.0000  0.0000  0.5000
Ag  0.4647  0.5353  0.7500
Ag  0.5353  0.4647  0.2500
Te  0.2041  0.7959  0.2500
Te  0.7959  0.2041  0.7500

=====

Structure and theoretical powder X-ray diffraction pattern of Ag2Te (a PBE-relaxed structure; Cu Kα (λ = 1.5418 Å)).

Principal peaks in the range 10° ≤ 2θ ≤ 80°, most intense first:
2θ/deg  intensity
34.98  100.0
41.38  16.5
38.25  16.1
42.12  15.6
71.33  11.7
72.38  11.2

Structural model:
a = 7.3894 Å, b = 7.3894 Å, c = 4.2904 Å
α = 90.00°, β = 90.00°, γ = 145.65°
Fractional positions:
Ag  0.0000  0.0000  0.0000
Ag  0.1525  0.8475  0.5000
Ag  0.5000  0.5000  0.5000
Ag  0.8475  0.1525  0.5000
Te  0.3505  0.6495  0.0000
Te  0.6495  0.3505  0.0000

=====

Structure and theoretical powder X-ray diffraction pattern of Ag2Te (a PBE-relaxed structure; Cu Kα (λ = 1.5418 Å)).

Principal peaks in the range 10° ≤ 2θ ≤ 80°, most intense first:
2θ/deg  intensity
39.02  100.0
40.67  39.8
37.06  36.6
22.92  31.5
23.32  25.1
34.16  21.2

Structural model:
a = 4.8510 Å, b = 9.9789 Å, c = 7.8496 Å
α = 90.00°, β = 128.16°, γ = 90.00°
Fractional positions:
Ag  0.2386  0.1669  0.4914
Ag  0.2386  0.3331  0.9914
Ag  0.2440  0.6682  0.4913
Ag  0.2440  0.8318  0.9913
Ag  0.7560  0.1682  0.0087
Ag  0.7560  0.3318  0.5087
Ag  0.7614  0.6669  0.0086
Ag  0.7614  0.8331  0.5086
Te  0.4972  0.0895  0.2492
Te  0.4972  0.4105  0.7492
Te  0.5028  0.5895  0.2508
Te  0.5028  0.9105  0.7508

=====

Structure and theoretical powder X-ray diffraction pattern of Ag5Te2 (a PBE-relaxed structure; Cu Kα (λ = 1.5418 Å)).

Principal peaks in the range 10° ≤ 2θ ≤ 80°, most intense first:
2θ/deg  intensity
34.67  100.0
39.37  92.1
34.49  51.2
31.16  45.8
40.59  37.0
41.54  33.7

Structural model:
a = 8.8239 Å, b = 8.8239 Å, c = 7.4837 Å
α = 92.68°, β = 92.68°, γ = 32.85°
Fractional positions:
Ag  0.1445  0.8555  0.7500
Ag  0.1582  0.4405  0.7447
Ag  0.3043  0.5696  0.0875
Ag  0.4304  0.6957  0.4125
Ag  0.4405  0.1582  0.2447
Ag  0.5595  0.8418  0.7553
Ag  0.5696  0.3043  0.5875
Ag  0.6957  0.4304  0.9125
Ag  0.8418  0.5595  0.2553
Ag  0.8555  0.1445  0.2500
Te  0.0130  0.7143  0.4016
Te  0.2857  0.9870  0.0984
Te  0.7143  0.0130  0.9016
Te  0.9870  0.2857  0.5984

=====

Structure and theoretical powder X-ray diffraction pattern of Ag8Te (a PBE-relaxed structure; Cu Kα (λ = 1.5418 Å)).

Principal peaks in the range 10° ≤ 2θ ≤ 80°, most intense first:
2θ/deg  intensity
36.70  100.0
42.52  32.4
73.99  22.9
61.96  20.1
42.85  16.1
74.45  11.9

Structural model:
a = 6.7180 Å, b = 6.7180 Å, c = 6.7180 Å
α = 95.66°, β = 95.66°, γ = 143.38°
Fractional positions:
Ag  0.0000  0.3390  0.3390
Ag  0.0000  0.6610  0.6610
Ag  0.3275  0.3275  0.6550
Ag  0.3275  0.6725  0.0000
Ag  0.3390  0.0000  0.3390
Ag  0.6610  0.0000  0.6610
Ag  0.6725  0.3275  0.0000
Ag  0.6725  0.6725  0.3450
Te  0.0000  0.0000  0.0000

=====

Structure and theoretical powder X-ray diffraction pattern of AgTe4 (a PBE-relaxed structure; Cu Kα (λ = 1.5418 Å)).

Principal peaks in the range 10° ≤ 2θ ≤ 80°, most intense first:
2θ/deg  intensity
24.54  100.0
32.11  38.8
46.02  31.3
35.03  26.3
22.01  24.6
37.66  24.0

Structural model:
a = 6.0117 Å, b = 6.0117 Å, c = 9.1605 Å
α = 116.41°, β = 116.41°, γ = 38.91°
Fractional positions:
Ag  0.0000  0.0000  0.0000
Te  0.2672  0.2672  0.1485
Te  0.3697  0.3697  0.4954
Te  0.6303  0.6303  0.5046
Te  0.7328  0.7328  0.8514

=====

Structure and theoretical powder X-ray diffraction pattern of Ag2Te (a PBE-relaxed structure; Cu Kα (λ = 1.5418 Å)).

Principal peaks in the range 10° ≤ 2θ ≤ 80°, most intense first:
2θ/deg  intensity
30.36  100.0
39.18  88.5
29.85  84.2
40.19  64.8
41.71  47.4
41.58  43.8

Structural model:
a = 8.0245 Å, b = 4.5279 Å, c = 9.1319 Å
α = 90.00°, β = 121.91°, γ = 90.00°
Fractional positions:
Ag  0.0321  0.1262  0.1573
Ag  0.0321  0.3738  0.6573
Ag  0.3350  0.6441  0.3447
Ag  0.3350  0.8559  0.8447
Ag  0.6650  0.1441  0.1553
Ag  0.6650  0.3559  0.6553
Ag  0.9679  0.6262  0.3427
Ag  0.9679  0.8738  0.8427
Te  0.2730  0.1452  0.5305
Te  0.2730  0.3548  0.0305
Te  0.7270  0.6452  0.9695
Te  0.7270  0.8548  0.4695

=====

Structure and theoretical powder X-ray diffraction pattern of AgTe4 (a PBE-relaxed structure; Cu Kα (λ = 1.5418 Å)).

Principal peaks in the range 10° ≤ 2θ ≤ 80°, most intense first:
2θ/deg  intensity
27.71  100.0
24.33  89.8
33.15  40.1
31.93  37.3
13.42  31.1
35.19  30.4

Structural model:
a = 6.8203 Å, b = 6.4179 Å, c = 7.8444 Å
α = 90.00°, β = 104.67°, γ = 90.00°
Fractional positions:
Ag  0.0000  0.0000  0.0000
Ag  0.0000  0.5000  0.5000
Te  0.1948  0.1493  0.7427
Te  0.1948  0.3507  0.2427
Te  0.2916  0.6623  0.0483
Te  0.2916  0.8377  0.5483
Te  0.7084  0.1623  0.4517
Te  0.7084  0.3377  0.9517
Te  0.8052  0.6493  0.7573
Te  0.8052  0.8507  0.2573

=====

Structure and theoretical powder X-ray diffraction pattern of Ag2Te (a PBE-relaxed structure; Cu Kα (λ = 1.5418 Å)).

Principal peaks in the range 10° ≤ 2θ ≤ 80°, most intense first:
2θ/deg  intensity
37.60  100.0
31.66  89.6
11.40  69.0
41.13  57.2
38.25  48.4
41.30  32.4

Structural model:
a = 4.7857 Å, b = 4.7857 Å, c = 7.7647 Å
α = 90.64°, β = 90.64°, γ = 58.90°
Fractional positions:
Ag  0.0056  0.0056  0.2923
Ag  0.3360  0.3360  0.4238
Ag  0.6640  0.6640  0.5762
Ag  0.9944  0.9944  0.7077
Te  0.3240  0.3240  0.7926
Te  0.6760  0.6760  0.2074

=====

Structure and theoretical powder X-ray diffraction pattern of Th3Tl4AgTe8 (a PBE-relaxed structure; Cu Kα (λ = 1.5418 Å)).

Principal peaks in the range 10° ≤ 2θ ≤ 80°, most intense first:
2θ/deg  intensity
27.10  100.0
37.12  40.3
40.23  36.1
49.18  19.8
65.34  16.9
60.99  16.7

Structural model:
a = 8.9699 Å, b = 8.9699 Å, c = 9.7543 Å
α = 117.42°, β = 117.42°, γ = 59.94°
Fractional positions:
Th  0.0000  0.0000  0.0000
Th  0.0000  0.5000  0.0000
Th  0.5000  0.0000  0.0000
Tl  0.0000  0.0000  0.5000
Tl  0.0000  0.5000  0.5000
Tl  0.5000  0.0000  0.5000
Tl  0.5000  0.5000  0.5000
Ag  0.5000  0.5000  0.0000
Te  0.2396  0.7380  0.2158
Te  0.2414  0.2414  0.2244
Te  0.2614  0.2614  0.7838
Te  0.2620  0.7604  0.7842
Te  0.7380  0.2396  0.2158
Te  0.7386  0.7386  0.2162
Te  0.7586  0.7586  0.7756
Te  0.7604  0.2620  0.7842